# SiIrW2O
Theoretical powder diffraction line list, Cu Kα, 1.54184 Å. Input: a DFT-relaxed cell (PBE+U, Alexandria).
Intensities are scaled so that the largest is 100.

Crystal structure
```
data_SiIrW2O
_cell_length_a 5.3030
_cell_length_b 5.3030
_cell_length_c 3.6488
_cell_angle_alpha 90.00
_cell_angle_beta 90.00
_cell_angle_gamma 90.00
_space_group_name_H-M_alt 'P 4/m m m'
_space_group_IT_number 123
_space_group_name_Hall '-P 4 2'
loop_
_atom_site_label
_atom_site_type_symbol
_atom_site_fract_x
_atom_site_fract_y
_atom_site_fract_z
_atom_site_occupancy
Si1 Si 0.0000 0.0000 0.0000 1
Ir1 Ir 0.5000 0.5000 0.5000 1
W1 W 0.0000 0.5000 0.5000 1
O1 O 0.5000 0.5000 0.0000 1
```

Peak list (6 most intense, 2θ from 10° to 80°, low angle first)
2θ = 16.72°, I = 48
2θ = 24.40°, I = 81
2θ = 33.81°, I = 100
2θ = 42.13°, I = 79
2θ = 48.56°, I = 36
2θ = 55.07°, I = 37